The following is a computed X-ray diffraction stick pattern of Ca2CoWF. It was derived from a GGA+U-relaxed structure, using Cu Kα.
Kinematic intensities with the Lorentz-polarization factor, no thermal factor.

Peak list (10 most intense, 2θ from 10° to 80°, in order of rising 2θ)
2θ (°)  I/Imax  (hkl)
18.1  20  0 0 1
18.9  18  1 0 0
26.3  35  1 0 1
26.9  27  1 1 0
32.6  100  1 1 1
36.7  23  0 0 2
38.4  40  2 0 0
47.2  15  2 1 1
54.2  29  2 0 2
65.9  25  3 1 1

Atomic structure:
abc: 4.683 4.683 4.902
angles: 90.00 90.00 90.00
Sites, in units of the cell vectors:
Ca 0.000 0.500 0.000
Ca 0.500 0.000 0.000
Co 0.000 0.000 0.500
W 0.500 0.500 0.500
F 0.000 0.000 0.000